For DySc4Rh2, the PBE geometry in Alexandria gives the computed powder diffraction line list in this record (Cu Ka).
Intensities are scaled so that the largest is 100.

Top 10 peaks for 2θ from 5° to 70°, most intense first:
2θ (°)	d/Å	intensity	h k l
40.4	2.231	100	2 2 0
36.4	2.468	70	1 1 2
30.3	2.945	64	0 2 0
14.2	6.246	53	1 0 -1
28.1	3.171	44	1 1 -2
12.9	6.836	43	1 0 0
33.6	2.664	42	1 2 -1
38.8	2.319	40	1 2 -2
32.4	2.759	36	2 1 -2
26.1	3.418	33	2 0 0

a b c (Å): 7.412 5.891 7.595
angles (deg): 90.00 112.74 90.00
Element x y z (fractional)
Dy (0.017, 0.250, 0.159)
Dy (0.983, 0.750, 0.841)
Sc (0.242, 0.501, 0.591)
Sc (0.242, 0.999, 0.591)
Sc (0.344, 0.750, 0.256)
Sc (0.390, 0.250, 0.014)
Sc (0.610, 0.750, 0.986)
Sc (0.656, 0.250, 0.744)
Sc (0.758, 0.001, 0.409)
Sc (0.758, 0.499, 0.409)
Rh (0.010, 0.250, 0.736)
Rh (0.420, 0.250, 0.372)
Rh (0.580, 0.750, 0.628)
Rh (0.990, 0.750, 0.264)